No. 1
# MoC3S2Cl7O
Theoretical X-ray diffraction stick pattern, CuKα. Input: a DFT-relaxed cell (GGA+U, the Materials Project).
Peak positions follow from Bragg's law for the DFT cell and can differ from measured ones.

Cell and atoms:
```
28
Lattice="8.379 0.000 0.000 0.000 10.331 0.000 -2.729 0.000 8.577" Properties=species:S:1:pos:R:3 pbc="T T T"
Mo 0.000 2.385 0.000
Mo -1.364 7.946 4.289
C 2.216 2.344 4.068
C 0.851 7.987 8.357
C 2.933 3.460 3.615
C 1.569 6.871 7.904
C 4.231 3.176 3.170
C 2.867 7.155 7.458
S 2.983 0.823 3.966
S 1.618 9.508 8.255
S 4.736 1.549 3.204
S 3.371 8.783 7.492
Cl -0.284 0.487 1.400
Cl -1.649 9.844 5.688
Cl 0.675 2.409 4.729
Cl 2.039 7.922 0.440
Cl 2.339 1.956 0.111
Cl 0.974 8.375 4.400
Cl 2.285 5.027 3.617
Cl 0.921 5.304 7.906
Cl 3.465 1.847 7.719
Cl 4.829 8.484 3.430
Cl 5.330 4.329 2.636
Cl 3.965 6.002 6.925
Cl 6.073 3.298 6.418
Cl 7.437 7.033 2.129
O -0.230 3.718 1.020
O -1.594 6.613 5.309
```

Principal peaks in the range 2θ from 10° to 80°, in order of rising 2θ:
2θ = 13.4°, d 6.599, I 29; 2θ = 15.3°, d 5.793, I 100; 2θ = 17.2°, d 5.166, I 41; 2θ = 19.3°, d 4.588, I 99; 2θ = 20.5°, d 4.337, I 29; 2θ = 20.7°, d 4.289, I 46; 2θ = 26.4°, d 3.376, I 55; 2θ = 26.7°, d 3.337, I 42; 2θ = 33.7°, d 2.661, I 29; 2θ = 43.9°, d 2.063, I 29



No. 2
# Ni2C5Cl4O2
Theoretical X-ray diffraction stick pattern, CuKα. Input: a DFT-relaxed cell (GGA+U, the Materials Project).
Peak positions follow from Bragg's law for the DFT cell and can differ from measured ones.

Cell and atoms:
```
52
Lattice="7.460 0.000 0.000 -2.550 10.550 0.000 -0.094 -0.297 14.509" Properties=species:S:1:pos:R:3 pbc="T T T"
Ni 0.080 2.094 7.036
Ni -1.085 7.191 1.279
Ni 0.605 4.057 0.006
Ni -0.596 9.488 7.903
Ni 5.412 0.765 6.606
Ni 4.210 6.196 14.503
Ni 5.901 3.063 13.230
Ni 4.736 8.159 7.473
C -1.547 9.109 6.225
C -0.263 4.517 12.882
C 0.267 2.435 13.118
C -0.870 7.591 7.613
C -0.816 7.906 6.223
C 0.438 3.510 12.194
C 0.820 3.181 5.813
C -0.277 8.788 1.151
C 1.249 2.958 1.277
C 0.388 9.356 9.404
C 4.428 0.898 5.105
C 3.567 7.295 13.232
C 5.093 1.466 13.358
C 3.996 7.072 8.696
C 4.378 6.744 2.315
C 5.632 2.347 8.286
C 5.686 2.662 6.896
C 4.549 7.818 1.391
C 5.079 5.736 1.627
C 6.362 1.145 8.285
Cl -1.858 10.043 4.828
Cl -0.443 6.119 12.312
Cl 0.962 0.876 12.907
Cl -0.127 6.213 8.320
Cl -0.071 7.062 4.925
Cl 1.251 3.537 10.683
Cl 0.789 5.954 1.208
Cl 2.022 1.181 7.720
Cl 2.794 9.072 6.789
Cl 4.027 4.300 13.301
Cl 3.565 6.716 3.826
Cl 4.887 3.191 9.584
Cl 4.943 4.041 6.189
Cl 3.854 9.378 1.602
Cl 5.259 4.134 2.197
Cl 6.674 0.211 9.681
O 1.597 2.226 2.090
O 1.315 3.854 5.024
O 0.235 9.815 1.111
O 1.039 9.243 10.344
O 3.777 1.011 4.165
O 4.581 0.438 13.398
O 3.501 6.400 9.485
O 3.218 8.028 12.419
```

Principal peaks in the range 2θ from 10° to 80°, in order of rising 2θ:
2θ = 10.3°, d 8.616, I 90; 2θ = 10.5°, d 8.450, I 18; 2θ = 12.2°, d 7.253, I 100; 2θ = 15.0°, d 5.921, I 10; 2θ = 17.4°, d 5.101, I 15; 2θ = 24.5°, d 3.627, I 22; 2θ = 26.1°, d 3.411, I 11; 2θ = 26.2°, d 3.399, I 15; 2θ = 27.4°, d 3.258, I 16; 2θ = 27.6°, d 3.230, I 10



No. 3
# Li12Cr3CoP4C4O28
Theoretical X-ray diffraction stick pattern, CuKα. Input: a DFT-relaxed cell (GGA+U, the Materials Project).
Peak positions follow from Bragg's law for the DFT cell and can differ from measured ones.

Cell and atoms:
```
52
Lattice="8.630 0.000 0.000 0.000 6.465 0.000 -0.787 0.000 9.971" Properties=species:S:1:pos:R:3 pbc="T T T"
Li 0.000 0.000 0.000
Li -0.389 0.000 4.993
Li 0.884 1.461 7.535
Li 0.884 5.004 7.535
Li 1.277 1.454 2.573
Li 1.277 5.011 2.573
Li 4.984 1.769 5.087
Li 4.984 4.697 5.087
Li 5.385 1.773 0.103
Li 5.385 4.693 0.103
Li 6.255 3.233 7.632
Li 6.703 3.233 2.675
Cr 1.220 3.233 9.869
Cr 4.246 0.000 7.738
Cr 4.650 0.000 2.778
Co 1.604 3.233 4.849
P 2.652 0.000 0.235
P 2.252 0.000 5.210
P 3.583 3.233 7.393
P 4.012 3.233 2.446
C 6.896 0.000 7.338
C 7.293 0.000 2.351
C 7.992 3.233 0.305
C 7.675 3.233 5.309
O -0.089 0.000 1.978
O -0.483 0.000 6.974
O 0.305 3.233 1.218
O -0.030 3.233 6.233
O 1.439 1.213 4.658
O 1.439 5.252 4.658
O 1.050 1.207 9.646
O 1.050 5.258 9.646
O 2.607 0.000 1.786
O 2.208 0.000 6.764
O 2.536 3.233 2.916
O 2.133 3.233 7.914
O 3.562 3.233 5.833
O 3.733 0.000 4.753
O 3.341 0.000 9.737
O 4.054 3.233 0.895
O 4.424 2.029 7.924
O 4.424 4.437 7.924
O 4.831 2.026 3.004
O 4.831 4.440 3.004
O 6.348 0.000 1.441
O 5.961 0.000 6.418
O 6.744 3.233 0.682
O 6.414 3.233 5.637
O 6.553 0.000 8.577
O 6.962 0.000 3.594
O 7.534 3.233 9.035
O 8.060 3.233 4.073
```

Principal peaks in the range 2θ from 10° to 80°, in order of rising 2θ:
2θ = 10.3°, d 8.604, I 84; 2θ = 19.9°, d 4.469, I 37; 2θ = 21.3°, d 4.174, I 50; 2θ = 25.4°, d 3.506, I 25; 2θ = 26.3°, d 3.392, I 32; 2θ = 27.6°, d 3.233, I 100; 2θ = 31.2°, d 2.868, I 19; 2θ = 36.7°, d 2.446, I 28; 2θ = 40.0°, d 2.254, I 30; 2θ = 57.0°, d 1.616, I 21



No. 4
# CsCoC4O4
Theoretical X-ray diffraction stick pattern, CuKα. Input: a DFT-relaxed cell (GGA+U, the Materials Project).
Peak positions follow from Bragg's law for the DFT cell and can differ from measured ones.

Cell and atoms:
```
10
Lattice="-4.319 4.319 2.737 4.319 -4.319 2.737 4.319 4.319 -2.737" Properties=species:S:1:pos:R:3 pbc="T T T"
Cs 0.000 0.000 0.000
Co 0.000 4.319 1.369
C 3.877 1.315 -0.318
C 3.004 -0.442 3.055
C 1.315 4.761 0.318
C 0.442 3.004 2.419
O 3.587 2.192 0.411
O 2.128 -0.732 2.326
O 2.192 5.051 -0.411
O 0.732 2.128 3.149
```

Principal peaks in the range 2θ from 10° to 80°, in order of rising 2θ:
2θ = 19.2°, d 4.624, I 42; 2θ = 20.6°, d 4.319, I 50; 2θ = 28.3°, d 3.156, I 100; 2θ = 29.2°, d 3.054, I 13; 2θ = 32.8°, d 2.734, I 13; 2θ = 36.0°, d 2.498, I 21; 2θ = 41.1°, d 2.195, I 16; 2θ = 46.4°, d 1.957, I 12; 2θ = 47.0°, d 1.933, I 40; 2θ = 55.8°, d 1.649, I 22